1.
Tb2TiO5: computed powder X-ray diffraction pattern (λ = 1.5418 Å (Cu Kα)), based on a cell relaxed with PBE.
Intensities are scaled so that the largest is 100.

Principal peaks in the range 10 to 90 degrees two-theta, sorted by position:
13.1°, d 6.755, rel. 18; 16.4°, d 5.410, rel. 18; 29.4°, d 3.042, rel. 100; 29.9°, d 2.990, rel. 94; 34.3°, d 2.611, rel. 66; 49.4°, d 1.846, rel. 53; 50.0°, d 1.824, rel. 17; 58.1°, d 1.587, rel. 26; 59.1°, d 1.564, rel. 27; 82.6°, d 1.168, rel. 15

Crystal structure
```
data_Tb2TiO5
_chemical_formula_sum 'Tb8 Ti4 O20'
_cell_length_a 7.4877
_cell_length_b 3.6480
_cell_length_c 15.6511
_cell_angle_alpha 90.00
_cell_angle_beta 90.00
_cell_angle_gamma 90.00
_symmetry_space_group_name_H-M 'P n m a'
_symmetry_Int_Tables_number 62
loop_
_symmetry_equiv_pos_as_xyz
'x,y,z'
'-x,-y,-z'
'-x+1/2,-y,z+1/2'
'x+1/2,y,-z+1/2'
'x+1/2,-y+1/2,-z+1/2'
'-x+1/2,y+1/2,z+1/2'
'-x,y+1/2,-z'
'x,-y+1/2,z'
loop_
_atom_site_label
_atom_site_type_symbol
_atom_site_fract_x
_atom_site_fract_y
_atom_site_fract_z
_atom_site_occupancy
Tb1 Tb 0.1130 0.2500 0.0826 1
Tb2 Tb 0.1432 0.2500 0.7384 1
Ti1 Ti 0.1236 0.2500 0.4230 1
O1 O 0.0834 0.7500 0.4539 1
O2 O 0.0894 0.7500 0.1738 1
O3 O 0.1039 0.7500 0.6494 1
O4 O 0.1543 0.7500 0.9946 1
O5 O 0.2350 0.7500 0.8255 1
```

---

2.
K3AuF6: computed powder X-ray diffraction pattern (λ = 1.5418 Å (Cu Kα)), based on a cell relaxed with PBE.
Intensities are scaled so that the largest is 100.

Principal peaks in the range 10 to 90 degrees two-theta, sorted by position:
13.1°, d 6.734, rel. 100; 13.3°, d 6.649, rel. 92; 13.6°, d 6.499, rel. 85; 16.4°, d 5.389, rel. 17; 18.5°, d 4.785, rel. 20; 26.5°, d 3.365, rel. 24; 26.8°, d 3.325, rel. 18; 27.4°, d 3.253, rel. 18; 27.9°, d 3.203, rel. 17; 32.8°, d 2.729, rel. 20

Crystal structure
```
data_K3AuF6
_chemical_formula_sum 'K3 Au1 F6'
_cell_length_a 6.9478
_cell_length_b 6.9810
_cell_length_c 7.0070
_cell_angle_alpha 74.76
_cell_angle_beta 73.18
_cell_angle_gamma 84.58
_symmetry_space_group_name_H-M 'P -1'
_symmetry_Int_Tables_number 2
loop_
_symmetry_equiv_pos_as_xyz
'x,y,z'
'-x,-y,-z'
loop_
_atom_site_label
_atom_site_type_symbol
_atom_site_fract_x
_atom_site_fract_y
_atom_site_fract_z
_atom_site_occupancy
K1 K 0.0000 0.0000 0.0000 1
K2 K 0.0000 0.5000 0.5000 1
K3 K 0.5000 0.0000 0.5000 1
Au1 Au 0.0000 0.0000 0.5000 1
F1 F 0.1068 0.7798 0.6875 1
F2 F 0.2043 0.2120 0.6516 1
F3 F 0.2303 0.9538 0.2700 1
```

---

3.
Cs2HgCl4: computed powder X-ray diffraction pattern (λ = 1.5418 Å (Cu Kα)), based on a cell relaxed with PBE.
Intensities are scaled so that the largest is 100.

Principal peaks in the range 10 to 90 degrees two-theta, sorted by position:
15.7°, d 5.662, rel. 45; 19.2°, d 4.625, rel. 25; 21.9°, d 4.052, rel. 44; 22.3°, d 3.992, rel. 100; 22.6°, d 3.940, rel. 83; 26.2°, d 3.405, rel. 25; 29.5°, d 3.027, rel. 42; 29.7°, d 3.011, rel. 76; 31.6°, d 2.831, rel. 24; 34.8°, d 2.576, rel. 28

Crystal structure
```
data_Cs2HgCl4
_chemical_formula_sum 'Cs8 Hg4 Cl16'
_cell_length_a 10.0486
_cell_length_b 7.8799
_cell_length_c 13.8899
_cell_angle_alpha 90.00
_cell_angle_beta 90.00
_cell_angle_gamma 90.00
_symmetry_space_group_name_H-M 'P n m a'
_symmetry_Int_Tables_number 62
loop_
_symmetry_equiv_pos_as_xyz
'x,y,z'
'-x,-y,-z'
'-x+1/2,-y,z+1/2'
'x+1/2,y,-z+1/2'
'x+1/2,-y+1/2,-z+1/2'
'-x+1/2,y+1/2,z+1/2'
'-x,y+1/2,-z'
'x,-y+1/2,z'
loop_
_atom_site_label
_atom_site_type_symbol
_atom_site_fract_x
_atom_site_fract_y
_atom_site_fract_z
_atom_site_occupancy
Cs1 Cs 0.0138 0.2500 0.1773 1
Cs2 Cs 0.1185 0.7500 0.4090 1
Hg1 Hg 0.2153 0.7500 0.0768 1
Cl1 Cl 0.0330 0.2500 0.9170 1
Cl2 Cl 0.1740 0.2500 0.4111 1
Cl3 Cl 0.1829 0.5084 0.6580 1
```

---

4.
Zr5Ir2Os: computed powder X-ray diffraction pattern (λ = 1.5418 Å (Cu Kα)), based on a cell relaxed with PBE.
Intensities are scaled so that the largest is 100.

Principal peaks in the range 10 to 90 degrees two-theta, sorted by position:
12.7°, d 6.973, rel. 19; 27.3°, d 3.266, rel. 29; 32.0°, d 2.793, rel. 29; 34.0°, d 2.635, rel. 18; 37.7°, d 2.383, rel. 100; 38.7°, d 2.324, rel. 37; 39.3°, d 2.295, rel. 61; 41.4°, d 2.180, rel. 18; 49.9°, d 1.828, rel. 23; 60.9°, d 1.520, rel. 17

Crystal structure
```
data_Zr5Ir2Os
_chemical_formula_sum 'Zr20 Ir8 Os4'
_cell_length_a 5.5863
_cell_length_b 13.9632
_cell_length_c 8.0405
_cell_angle_alpha 90.00
_cell_angle_beta 90.00
_cell_angle_gamma 90.00
_symmetry_space_group_name_H-M 'A m m 2'
_symmetry_Int_Tables_number 38
loop_
_symmetry_equiv_pos_as_xyz
'x,y,z'
'-x,-y,z'
'-x,y,z'
'x,-y,z'
'x,y+1/2,z+1/2'
'-x,-y+1/2,z+1/2'
'-x,y+1/2,z+1/2'
'x,-y+1/2,z+1/2'
loop_
_atom_site_label
_atom_site_type_symbol
_atom_site_fract_x
_atom_site_fract_y
_atom_site_fract_z
_atom_site_occupancy
Zr1 Zr 0.0000 0.0000 0.0000 1
Zr2 Zr 0.0000 0.1209 0.6377 1
Zr3 Zr 0.2508 0.1670 0.2579 1
Zr4 Zr 0.5000 0.0000 0.5172 1
Zr5 Zr 0.5000 0.1219 0.8746 1
Ir1 Ir 0.0000 0.0000 0.3587 1
Ir2 Ir 0.0000 0.1993 0.9577 1
Ir3 Ir 0.5000 0.0000 0.1568 1
Os1 Os 0.5000 0.2005 0.5573 1
```

---

5.
NaAl11O17: computed powder X-ray diffraction pattern (λ = 1.5418 Å (Cu Kα)), based on a cell relaxed with PBE.
Intensities are scaled so that the largest is 100.

Principal peaks in the range 10 to 90 degrees two-theta, sorted by position:
15.6°, d 5.688, rel. 100; 21.6°, d 4.113, rel. 34; 31.7°, d 2.827, rel. 39; 33.1°, d 2.708, rel. 67; 35.5°, d 2.531, rel. 72; 36.9°, d 2.434, rel. 44; 41.9°, d 2.156, rel. 34; 46.4°, d 1.955, rel. 36; 65.6°, d 1.424, rel. 42; 66.1°, d 1.413, rel. 82

Crystal structure
```
data_NaAl11O17
_chemical_formula_sum 'Na2 Al22 O34'
_cell_length_a 5.6534
_cell_length_b 5.6534
_cell_length_c 22.7526
_cell_angle_alpha 90.00
_cell_angle_beta 90.00
_cell_angle_gamma 120.00
_symmetry_space_group_name_H-M 'P 63/m m c'
_symmetry_Int_Tables_number 194
_symmetry_space_group_name_Hall '-P 6c 2c'
loop_
_atom_site_label
_atom_site_type_symbol
_atom_site_fract_x
_atom_site_fract_y
_atom_site_fract_z
_atom_site_occupancy
Na1 Na 0.0000 0.0000 0.2500 1
Al1 Al 0.0000 0.0000 0.0000 1
Al2 Al 0.1682 0.3365 0.1064 1
Al3 Al 0.3333 0.6667 0.5262 1
Al4 Al 0.3333 0.6667 0.6748 1
O1 O 0.0000 0.0000 0.1436 1
O2 O 0.0025 0.5012 0.1441 1
O3 O 0.1558 0.3115 0.5501 1
O4 O 0.3333 0.6667 0.0541 1
O5 O 0.3333 0.6667 0.7500 1
```

---

6.
NaCeS2: computed powder X-ray diffraction pattern (λ = 1.5418 Å (Cu Kα)), based on a cell relaxed with PBE.
Intensities are scaled so that the largest is 100.

Principal peaks in the range 10 to 90 degrees two-theta, sorted by position:
15.8°, d 5.597, rel. 62; 21.8°, d 4.085, rel. 59; 27.0°, d 3.300, rel. 48; 31.0°, d 2.889, rel. 100; 32.0°, d 2.798, rel. 46; 35.0°, d 2.567, rel. 35; 39.0°, d 2.309, rel. 26; 44.3°, d 2.043, rel. 36; 45.1°, d 2.010, rel. 67; 55.7°, d 1.650, rel. 35

Crystal structure
```
data_NaCeS2
_chemical_formula_sum 'Na1 Ce1 S2'
_cell_length_a 4.0853
_cell_length_b 4.0853
_cell_length_c 5.5966
_cell_angle_alpha 90.00
_cell_angle_beta 90.00
_cell_angle_gamma 90.00
_symmetry_space_group_name_H-M 'P 4/m m m'
_symmetry_Int_Tables_number 123
_symmetry_space_group_name_Hall '-P 4 2'
loop_
_atom_site_label
_atom_site_type_symbol
_atom_site_fract_x
_atom_site_fract_y
_atom_site_fract_z
_atom_site_occupancy
Na1 Na 0.0000 0.0000 0.0000 1
Ce1 Ce 0.5000 0.5000 0.5000 1
S1 S 0.0000 0.0000 0.5000 1
S2 S 0.5000 0.5000 0.0000 1
```

---

7.
FeRe: computed powder X-ray diffraction pattern (λ = 1.5418 Å (Cu Kα)), based on a cell relaxed with PBE.
Intensities are scaled so that the largest is 100.

Principal peaks in the range 10 to 90 degrees two-theta, sorted by position:
21.5°, d 4.140, rel. 35; 38.7°, d 2.328, rel. 41; 43.7°, d 2.070, rel. 22; 44.6°, d 2.030, rel. 100; 59.8°, d 1.547, rel. 24; 70.0°, d 1.344, rel. 16; 74.2°, d 1.279, rel. 8; 81.0°, d 1.187, rel. 17; 86.3°, d 1.127, rel. 18; 86.9°, d 1.121, rel. 15

Crystal structure
```
data_FeRe
_chemical_formula_sum 'Fe1 Re1'
_cell_length_a 2.6887
_cell_length_b 2.6887
_cell_length_c 4.1399
_cell_angle_alpha 90.00
_cell_angle_beta 90.00
_cell_angle_gamma 120.00
_symmetry_space_group_name_H-M 'P -6 m 2'
_symmetry_Int_Tables_number 187
_symmetry_space_group_name_Hall 'P -6 2'
loop_
_atom_site_label
_atom_site_type_symbol
_atom_site_fract_x
_atom_site_fract_y
_atom_site_fract_z
_atom_site_occupancy
Fe1 Fe 0.0000 0.0000 0.0000 1
Re1 Re 0.6667 0.3333 0.5000 1
```

---

8.
SrZnSb2: computed powder X-ray diffraction pattern (λ = 1.5418 Å (Cu Kα)), based on a cell relaxed with PBE.
Intensities are scaled so that the largest is 100.

Principal peaks in the range 10 to 90 degrees two-theta, sorted by position:
25.2°, d 3.532, rel. 18; 25.3°, d 3.514, rel. 20; 29.4°, d 3.036, rel. 17; 30.7°, d 2.914, rel. 11; 32.4°, d 2.762, rel. 100; 40.4°, d 2.234, rel. 21; 40.7°, d 2.216, rel. 23; 42.5°, d 2.126, rel. 23; 44.2°, d 2.047, rel. 17; 58.7°, d 1.573, rel. 15

Crystal structure
```
data_SrZnSb2
_chemical_formula_sum 'Sr4 Zn4 Sb8'
_cell_length_a 23.0608
_cell_length_b 4.4322
_cell_length_c 4.4681
_cell_angle_alpha 90.00
_cell_angle_beta 90.00
_cell_angle_gamma 90.00
_symmetry_space_group_name_H-M 'P n m a'
_symmetry_Int_Tables_number 62
loop_
_symmetry_equiv_pos_as_xyz
'x,y,z'
'-x,-y,-z'
'-x+1/2,-y,z+1/2'
'x+1/2,y,-z+1/2'
'x+1/2,-y+1/2,-z+1/2'
'-x+1/2,y+1/2,z+1/2'
'-x,y+1/2,-z'
'x,-y+1/2,z'
loop_
_atom_site_label
_atom_site_type_symbol
_atom_site_fract_x
_atom_site_fract_y
_atom_site_fract_z
_atom_site_occupancy
Sr1 Sr 0.1160 0.2500 0.2281 1
Zn1 Zn 0.2500 0.2500 0.7247 1
Sb1 Sb 0.0011 0.2500 0.7243 1
Sb2 Sb 0.1768 0.7500 0.7258 1
```

---

9.
LiMg6Sn: computed powder X-ray diffraction pattern (λ = 1.5418 Å (Cu Kα)), based on a cell relaxed with PBE.
Intensities are scaled so that the largest is 100.

Principal peaks in the range 10 to 90 degrees two-theta, sorted by position:
16.1°, d 5.494, rel. 82; 23.8°, d 3.738, rel. 71; 27.8°, d 3.205, rel. 24; 32.6°, d 2.747, rel. 28; 33.0°, d 2.714, rel. 31; 35.2°, d 2.551, rel. 38; 36.7°, d 2.448, rel. 51; 37.2°, d 2.418, rel. 100; 64.4°, d 1.446, rel. 20; 69.2°, d 1.357, rel. 20

Crystal structure
```
data_LiMg6Sn
_chemical_formula_sum 'Li2 Mg12 Sn2'
_cell_length_a 5.1010
_cell_length_b 6.3109
_cell_length_c 11.1617
_cell_angle_alpha 90.00
_cell_angle_beta 90.00
_cell_angle_gamma 90.00
_symmetry_space_group_name_H-M 'A m m 2'
_symmetry_Int_Tables_number 38
loop_
_symmetry_equiv_pos_as_xyz
'x,y,z'
'-x,-y,z'
'-x,y,z'
'x,-y,z'
'x,y+1/2,z+1/2'
'-x,-y+1/2,z+1/2'
'-x,y+1/2,z+1/2'
'x,-y+1/2,z+1/2'
loop_
_atom_site_label
_atom_site_type_symbol
_atom_site_fract_x
_atom_site_fract_y
_atom_site_fract_z
_atom_site_occupancy
Li1 Li 0.0000 0.0000 0.0000 1
Mg1 Mg 0.0000 0.2492 0.2495 1
Mg2 Mg 0.5000 0.0000 0.1656 1
Mg3 Mg 0.5000 0.0000 0.6684 1
Mg4 Mg 0.5000 0.2452 0.9162 1
Sn1 Sn 0.0000 0.0000 0.4996 1
```

---

10.
K2PtS15: computed powder X-ray diffraction pattern (λ = 1.5418 Å (Cu Kα)), based on a cell relaxed with PBE.
Intensities are scaled so that the largest is 100.

Principal peaks in the range 10 to 90 degrees two-theta, sorted by position:
11.4°, d 7.791, rel. 30; 12.5°, d 7.067, rel. 100; 13.8°, d 6.419, rel. 30; 17.8°, d 4.982, rel. 11; 18.0°, d 4.926, rel. 11; 18.9°, d 4.693, rel. 12; 26.9°, d 3.313, rel. 13; 28.0°, d 3.184, rel. 13; 29.9°, d 2.992, rel. 16; 32.5°, d 2.757, rel. 10

Crystal structure
```
data_K2PtS15
_chemical_formula_sum 'K8 Pt4 S60'
_cell_length_a 15.5822
_cell_length_b 10.0827
_cell_length_c 12.8386
_cell_angle_alpha 90.00
_cell_angle_beta 90.66
_cell_angle_gamma 90.00
_symmetry_space_group_name_H-M 'C 1 c 1'
_symmetry_Int_Tables_number 9
loop_
_symmetry_equiv_pos_as_xyz
'x,y,z'
'x,-y,z+1/2'
'x+1/2,y+1/2,z'
'x+1/2,-y+1/2,z+1/2'
loop_
_atom_site_label
_atom_site_type_symbol
_atom_site_fract_x
_atom_site_fract_y
_atom_site_fract_z
_atom_site_occupancy
K1 K 0.0000 0.0587 0.0000 1
K2 K 0.4030 0.1657 0.2470 1
Pt1 Pt 0.2797 0.2117 0.8930 1
S1 S 0.0150 0.3178 0.4154 1
S2 S 0.0305 0.3944 0.2656 1
S3 S 0.0623 0.0078 0.7507 1
S4 S 0.1093 0.1939 0.7027 1
S5 S 0.1414 0.2946 0.8345 1
S6 S 0.1736 0.0888 0.3069 1
S7 S 0.1870 0.4632 0.0683 1
S8 S 0.2077 0.0059 0.9406 1
S9 S 0.2562 0.2924 0.0694 1
S10 S 0.2667 0.3827 0.5222 1
S11 S 0.2742 0.4243 0.3620 1
S12 S 0.3187 0.1240 0.7225 1
S13 S 0.3534 0.4160 0.8482 1
S14 S 0.4044 0.0999 0.9676 1
S15 S 0.4336 0.2042 0.6822 1
```

---

What did the tenth record say?
K2PtS15: computed powder X-ray diffraction pattern (λ = 1.5418 Å (Cu Kα)), based on a cell relaxed with PBE.
Intensities are scaled so that the largest is 100.

Principal peaks in the range 10 to 90 degrees two-theta, sorted by position:
11.4°, d 7.791, rel. 30; 12.5°, d 7.067, rel. 100; 13.8°, d 6.419, rel. 30; 17.8°, d 4.982, rel. 11; 18.0°, d 4.926, rel. 11; 18.9°, d 4.693, rel. 12; 26.9°, d 3.313, rel. 13; 28.0°, d 3.184, rel. 13; 29.9°, d 2.992, rel. 16; 32.5°, d 2.757, rel. 10

Crystal structure
```
data_K2PtS15
_chemical_formula_sum 'K8 Pt4 S60'
_cell_length_a 15.5822
_cell_length_b 10.0827
_cell_length_c 12.8386
_cell_angle_alpha 90.00
_cell_angle_beta 90.66
_cell_angle_gamma 90.00
_symmetry_space_group_name_H-M 'C 1 c 1'
_symmetry_Int_Tables_number 9
loop_
_symmetry_equiv_pos_as_xyz
'x,y,z'
'x,-y,z+1/2'
'x+1/2,y+1/2,z'
'x+1/2,-y+1/2,z+1/2'
loop_
_atom_site_label
_atom_site_type_symbol
_atom_site_fract_x
_atom_site_fract_y
_atom_site_fract_z
_atom_site_occupancy
K1 K 0.0000 0.0587 0.0000 1
K2 K 0.4030 0.1657 0.2470 1
Pt1 Pt 0.2797 0.2117 0.8930 1
S1 S 0.0150 0.3178 0.4154 1
S2 S 0.0305 0.3944 0.2656 1
S3 S 0.0623 0.0078 0.7507 1
S4 S 0.1093 0.1939 0.7027 1
S5 S 0.1414 0.2946 0.8345 1
S6 S 0.1736 0.0888 0.3069 1
S7 S 0.1870 0.4632 0.0683 1
S8 S 0.2077 0.0059 0.9406 1
S9 S 0.2562 0.2924 0.0694 1
S10 S 0.2667 0.3827 0.5222 1
S11 S 0.2742 0.4243 0.3620 1
S12 S 0.3187 0.1240 0.7225 1
S13 S 0.3534 0.4160 0.8482 1
S14 S 0.4044 0.0999 0.9676 1
S15 S 0.4336 0.2042 0.6822 1
```